# 1
Calculated powder XRD pattern of LaPm3Y7 for Cu Kα (λ = 1.5418 Å), from a cell relaxed with PBE.

Principal peaks in the range 10° ≤ 2θ ≤ 90°, low angle first:
| h k l | two_theta | I_rel |
| --- | --- | --- |
| 0 0 2 | 18.58 | 24 |
| 1 1 -3 | 31.23 | 26 |
| 2 1 0 | 31.46 | 100 |
| 2 1 -2 | 31.69 | 70 |
| 0 2 0 | 31.94 | 90 |
| 0 1 3 | 32.34 | 75 |

Cell and atoms:
a b c (Å): 6.997 5.603 10.124
angles (deg): 90.00 109.36 90.00
Space group P2/m (No. 10)
Inequivalent atoms, fractional coordinates:
La: 0.000 0.000 0.000 (multiplicity 1)
Pm: 0.282 0.500 0.498 (multiplicity 2)
Pm: 0.500 0.000 0.000 (multiplicity 1)
Y: 0.000 0.000 0.500 (multiplicity 1)
Y: 0.144 0.500 0.787 (multiplicity 2)
Y: 0.323 0.500 0.138 (multiplicity 2)
Y: 0.422 0.000 0.330 (multiplicity 2)


# 2
Calculated powder XRD pattern of SbTeI3F6 for Cu Kα (λ = 1.5418 Å), from a cell relaxed with PBE.

Principal peaks in the range 10° ≤ 2θ ≤ 90°, low angle first:
| h k l | two_theta | I_rel |
| --- | --- | --- |
| 1 1 2 | 19.92 | 100 |
| 2 0 0 | 20.57 | 50 |
| 1 2 -2 | 22.51 | 53 |
| 2 0 -2 | 22.75 | 47 |
| 2 1 -2 | 24.20 | 46 |
| 1 3 0 | 26.45 | 43 |

Cell and atoms:
a b c (Å): 8.744 10.981 13.333
angles (deg): 90.00 99.09 90.00
Space group P2_1/c (No. 14)
Inequivalent atoms, fractional coordinates:
Sb: 0.183 0.219 0.081 (multiplicity 4)
Te: 0.185 0.674 0.699 (multiplicity 4)
I: 0.225 0.591 0.258 (multiplicity 4)
I: 0.276 0.549 0.872 (multiplicity 4)
I: 0.438 0.655 0.606 (multiplicity 4)
F: 0.015 0.749 0.502 (multiplicity 4)
F: 0.104 0.213 0.696 (multiplicity 4)
F: 0.110 0.060 0.114 (multiplicity 4)
F: 0.254 0.123 0.548 (multiplicity 4)
F: 0.255 0.150 0.964 (multiplicity 4)
F: 0.378 0.186 0.162 (multiplicity 4)


# 3
Calculated powder XRD pattern of NaU2O6 for Cu Kα (λ = 1.5418 Å), from a cell relaxed with PBE.

Principal peaks in the range 10° ≤ 2θ ≤ 90°, low angle first:
| h k l | two_theta | I_rel |
| --- | --- | --- |
| 1 1 0 | 18.56 | 32 |
| 1 1 1 | 25.89 | 100 |
| 3 0 0 | 32.44 | 33 |
| 2 2 1 | 41.96 | 27 |
| 0 3 2 | 49.42 | 30 |
| 4 1 1 | 54.01 | 25 |

Cell and atoms:
a b c (Å): 9.5619 9.5619 4.9576
angles (deg): 90.00 90.00 120.00
Space group P321 (No. 150)
Inequivalent atoms, fractional coordinates:
Na: 0.0000 0.0000 0.0000 (multiplicity 1)
Na: 0.3333 0.6667 0.5193 (multiplicity 2)
U: 0.0000 0.3199 0.5000 (multiplicity 3)
U: 0.0000 0.6524 0.0000 (multiplicity 3)
O: 0.0883 0.5414 0.7513 (multiplicity 6)
O: 0.1088 0.8610 0.7716 (multiplicity 6)
O: 0.1992 0.4220 0.2762 (multiplicity 6)


# 4
Calculated powder XRD pattern of NdCd6Ga2 for Cu Kα (λ = 1.5418 Å), from a cell relaxed with PBE.

Principal peaks in the range 10° ≤ 2θ ≤ 90°, low angle first:
| h k l | two_theta | I_rel |
| --- | --- | --- |
| 1 1 2 | 33.63 | 100 |
| 1 1 3 | 39.11 | 18 |
| 2 0 0 | 40.91 | 42 |
| 2 0 4 | 54.93 | 11 |
| 2 2 0 | 59.23 | 14 |
| 3 1 2 | 69.87 | 22 |

Cell and atoms:
a b c (Å): 4.412 4.412 10.245
angles (deg): 90.00 90.00 90.00
Space group P4/mmm (No. 123)
Inequivalent atoms, fractional coordinates:
Nd: 0.000 0.000 0.000 (multiplicity 1)
Cd: 0.000 0.000 0.500 (multiplicity 1)
Cd: 0.000 0.500 0.280 (multiplicity 4)
Cd: 0.500 0.500 0.500 (multiplicity 1)
Ga: 0.500 0.500 0.118 (multiplicity 2)


# 5
Calculated powder XRD pattern of KPd2Br for Cu Kα (λ = 1.5418 Å), from a cell relaxed with PBE.

Principal peaks in the range 10° ≤ 2θ ≤ 90°, low angle first:
| h k l | two_theta | I_rel |
| --- | --- | --- |
| 1 0 1 | 17.09 | 100 |
| 1 1 2 | 25.44 | 32 |
| 2 0 2 | 34.58 | 43 |
| 2 1 3 | 40.37 | 23 |
| 2 0 6 | 46.79 | 18 |
| 2 2 4 | 52.26 | 31 |

Cell and atoms:
a b c (Å): 5.463 5.463 16.565
angles (deg): 90.00 90.00 90.00
Space group I4_1/amd (No. 141, origin choice 2)
Inequivalent atoms, fractional coordinates:
K: 0.000 0.250 0.375 (multiplicity 4)
Pd: 0.000 0.000 0.000 (multiplicity 8)
Br: 0.000 0.250 0.875 (multiplicity 4)


# 6
Calculated powder XRD pattern of Zn2SiW2 for Cu Kα (λ = 1.5418 Å), from a cell relaxed with PBE.

Principal peaks in the range 10° ≤ 2θ ≤ 90°, low angle first:
| h k l | two_theta | I_rel |
| --- | --- | --- |
| 2 1 0 | 32.79 | 16 |
| 2 0 1 | 37.37 | 21 |
| 2 1 1 | 40.29 | 100 |
| 0 0 2 | 46.47 | 17 |
| 3 1 0 | 47.05 | 18 |
| 4 1 1 | 67.64 | 16 |

Cell and atoms:
a b c (Å): 6.107 6.107 3.908
angles (deg): 90.00 90.00 90.00
Space group P4/mbm (No. 127)
Inequivalent atoms, fractional coordinates:
Zn: 0.133 0.367 0.000 (multiplicity 4)
Si: 0.000 0.000 0.000 (multiplicity 2)
W: 0.172 0.672 0.500 (multiplicity 4)